# Cs4Rb2Co2O5
Calculated X-ray diffraction stick pattern, Cu Kα (weighted mean of Kα1 and Kα2). Input: a cell relaxed with GGA+U.
Neutral-atom scattering factors, no anomalous dispersion.

Atomic structure:
a = 7.017 Å, b = 7.017 Å, c = 7.118 Å
α = 91.96°, β = 91.96°, γ = 116.68°
Element x y z (fractional)
1 Cs 0.000 0.000 0.000
2 Cs 0.296 0.296 0.594
3 Cs 0.447 0.862 0.802
4 Cs 0.862 0.447 0.802
5 Rb 0.413 0.887 0.303
6 Rb 0.887 0.413 0.303
7 Co 0.447 0.447 0.111
8 Co 0.849 0.849 0.465
9 O 0.089 0.828 0.572
10 O 0.217 0.493 0.053
11 O 0.493 0.217 0.053
12 O 0.681 0.681 0.263
13 O 0.828 0.089 0.572

The 10 most intense peaks (10° ≤ 2θ ≤ 80°), sorted by position:
- 2θ = 25.44°, I = 31
- 2θ = 28.19°, I = 45
- 2θ = 28.52°, I = 73
- 2θ = 28.78°, I = 32
- 2θ = 29.26°, I = 100
- 2θ = 29.92°, I = 42
- 2θ = 30.57°, I = 25
- 2θ = 33.94°, I = 23
- 2θ = 36.30°, I = 31
- 2θ = 47.04°, I = 27